Entry 1:
Structure and theoretical powder XRD pattern of Mg14CoC (a GGA-PBE-relaxed structure; Cu Kα).
No peak broadening, texture or thermal motion is included.

Largest 12 diffraction maxima, low angle first, 10° ≤ 2θ ≤ 90°:
d 8.730, 2θ 10.1, I 26; d 6.065, 2θ 14.6, I 10; d 2.624, 2θ 34.2, I 12; d 2.490, 2θ 36.1, I 100; d 2.476, 2θ 36.3, I 27; d 2.382, 2θ 37.8, I 20; d 2.182, 2θ 41.4, I 9; d 2.100, 2θ 43.1, I 15; d 1.918, 2θ 47.4, I 10; d 1.566, 2θ 59.0, I 9; d 1.345, 2θ 70.0, I 10; d 1.326, 2θ 71.1, I 10

Cell and atoms:
a = 8.730 Å, b = 6.264 Å, c = 6.264 Å
α = 75.50°, β = 90.00°, γ = 90.00°
Fractional coordinates of all 16 atoms:
Mg1 0.000 0.000 0.000
Mg2 0.000 0.458 0.458
Mg3 0.000 0.528 0.934
Mg4 0.000 0.934 0.528
Mg5 0.236 0.215 0.215
Mg6 0.290 0.833 0.833
Mg7 0.325 0.337 0.723
Mg8 0.325 0.723 0.337
Mg9 0.500 0.084 0.480
Mg10 0.500 0.480 0.084
Mg11 0.675 0.337 0.723
Mg12 0.675 0.723 0.337
Mg13 0.710 0.833 0.833
Mg14 0.764 0.215 0.215
Co1 0.500 0.038 0.038
C1 0.500 0.447 0.447

=====

Entry 2:
Structure and theoretical powder XRD pattern of Mg14CoC (a GGA-PBE-relaxed structure; Cu Kα).
No peak broadening, texture or thermal motion is included.

Largest 12 diffraction maxima, low angle first, 10° ≤ 2θ ≤ 90°:
d 5.379, 2θ 16.5, I 4; d 4.684, 2θ 18.9, I 11; d 2.953, 2θ 30.3, I 4; d 2.734, 2θ 32.8, I 3; d 2.690, 2θ 33.3, I 25; d 2.381, 2θ 37.8, I 24; d 2.342, 2θ 38.4, I 100; d 1.783, 2θ 51.2, I 14; d 1.553, 2θ 59.5, I 17; d 1.367, 2θ 68.7, I 16; d 1.301, 2θ 72.7, I 18; d 1.294, 2θ 73.1, I 13

Cell and atoms:
a = 6.212 Å, b = 6.212 Å, c = 9.524 Å
α = 90.00°, β = 90.00°, γ = 120.00°
Fractional coordinates of all 16 atoms:
Mg1 0.000 0.000 0.249
Mg2 0.000 0.000 0.751
Mg3 0.021 0.511 0.251
Mg4 0.021 0.511 0.749
Mg5 0.332 0.166 0.500
Mg6 0.335 0.168 0.000
Mg7 0.489 0.511 0.251
Mg8 0.489 0.511 0.749
Mg9 0.489 0.979 0.251
Mg10 0.489 0.979 0.749
Mg11 0.832 0.168 0.000
Mg12 0.832 0.665 0.000
Mg13 0.834 0.166 0.500
Mg14 0.834 0.668 0.500
Co1 0.333 0.667 0.000
C1 0.333 0.667 0.500

=====

Entry 3:
Structure and theoretical powder XRD pattern of Mg6CoC (a GGA-PBE-relaxed structure; Cu Kα).
No peak broadening, texture or thermal motion is included.

Largest 12 diffraction maxima, low angle first, 10° ≤ 2θ ≤ 90°:
d 6.169, 2θ 14.4, I 76; d 3.161, 2θ 28.2, I 23; d 2.948, 2θ 30.3, I 31; d 2.479, 2θ 36.2, I 34; d 2.369, 2θ 38.0, I 78; d 2.336, 2θ 38.5, I 100; d 2.038, 2θ 44.5, I 28; d 1.789, 2θ 51.1, I 24; d 1.752, 2θ 52.2, I 20; d 1.613, 2θ 57.1, I 18; d 1.606, 2θ 57.4, I 17; d 1.305, 2θ 72.4, I 16

Cell and atoms:
a = 3.577 Å, b = 6.462 Å, c = 6.462 Å
α = 72.67°, β = 90.00°, γ = 90.00°
Fractional coordinates of all 8 atoms:
Mg1 0.000 0.000 0.000
Mg2 0.000 0.082 0.436
Mg3 0.000 0.436 0.082
Mg4 0.500 0.309 0.673
Mg5 0.500 0.673 0.309
Mg6 0.500 0.776 0.776
Co1 0.000 0.615 0.615
C1 0.500 0.311 0.311